(1)
Simulated PXRD pattern
Compound: CdNi15
Radiation: Cu Kα X-rays
Structure: the GGA-PBE geometry in OQMD
Neutral-atom scattering factors, no anomalous dispersion.

The 12 most intense peaks (2θ from 10° to 90°), in order of falling intensity:
2θ = 45.09°, 2.011 Å, intensity 100, (1 1 12)
2θ = 43.77°, 2.068 Å, intensity 64, (1 1 11)
2θ = 52.08°, 1.756 Å, intensity 54, (2 0 0)
2θ = 76.74°, 1.242 Å, intensity 16, (2 2 0)
2θ = 75.98°, 1.252 Å, intensity 13, (2 0 23)
2θ = 77.93°, 1.226 Å, intensity 12, (2 0 24)
2θ = 51.13°, 1.787 Å, intensity 12, (0 0 23)
2θ = 53.53°, 1.712 Å, intensity 11, (0 0 24)
2θ = 10.77°, 8.218 Å, intensity 10, (0 0 5)
2θ = 40.33°, 2.236 Å, intensity 7, (1 1 8)
2θ = 42.53°, 2.126 Å, intensity 6, (1 1 10)
2θ = 46.46°, 1.954 Å, intensity 5, (0 0 21)

Atomic structure:
```
data_CdNi15
_chemical_formula_sum 'Cd2 Ni30'
_symmetry_space_group_name_H-M 'P m m a'
_symmetry_Int_Tables_number 51
_symmetry_space_group_name_Hall '-P 2a 2a'
_cell_length_a 3.513
_cell_length_b 3.513
_cell_length_c 41.091
_cell_angle_alpha 90.00
_cell_angle_beta 90.00
_cell_angle_gamma 90.00
loop_
_atom_site_label
_atom_site_type_symbol
_atom_site_fract_x
_atom_site_fract_y
_atom_site_fract_z
Cd1 Cd 0.250 0.000 0.165
Ni1 Ni 0.250 0.000 0.267
Ni2 Ni 0.250 0.000 0.352
Ni3 Ni 0.250 0.000 0.437
Ni4 Ni 0.250 0.000 0.521
Ni5 Ni 0.250 0.000 0.606
Ni6 Ni 0.250 0.000 0.691
Ni7 Ni 0.250 0.000 0.776
Ni8 Ni 0.250 0.500 0.224
Ni9 Ni 0.250 0.500 0.309
Ni10 Ni 0.250 0.500 0.394
Ni11 Ni 0.250 0.500 0.479
Ni12 Ni 0.250 0.500 0.563
Ni13 Ni 0.250 0.500 0.648
Ni14 Ni 0.250 0.500 0.733
Ni15 Ni 0.250 0.500 0.816
```


(2)
Simulated PXRD pattern
Compound: PrCd20Ni2
Radiation: Cu Kα X-rays
Structure: the GGA-PBE geometry in OQMD
Neutral-atom scattering factors, no anomalous dispersion.

The 12 most intense peaks (2θ from 10° to 90°), in order of falling intensity:
2θ = 33.95°, 2.641 Å, intensity 100, (5 3 1)
2θ = 38.22°, 2.355 Å, intensity 64, (6 2 2)
2θ = 37.76°, 2.382 Å, intensity 64, (5 3 3)
2θ = 67.88°, 1.381 Å, intensity 41, (8 8 0)
2θ = 36.37°, 2.470 Å, intensity 35, (6 2 0)
2θ = 41.27°, 2.187 Å, intensity 27, (7 1 1)
2θ = 49.51°, 1.841 Å, intensity 22, (6 6 0)
2θ = 39.99°, 2.255 Å, intensity 20, (4 4 4)
2θ = 58.81°, 1.570 Å, intensity 18, (9 3 3)
2θ = 71.16°, 1.325 Å, intensity 18, (11 3 3)
2θ = 68.78°, 1.365 Å, intensity 17, (9 5 5)
2θ = 34.45°, 2.604 Å, intensity 16, (4 4 2)

Atomic structure:
Cell: 15.622 15.622 15.622 Å, 90.00 90.00 90.00°
Space group Fd-3m (No. 227, origin choice 2)
Unique sites:
Pr 0.125 0.125 0.125 (multiplicity 8)
Cd 0.000 0.000 0.000 (multiplicity 16)
Cd 0.012 0.375 0.875 (multiplicity 48)
Cd 0.060 0.060 0.325 (multiplicity 96)
Ni 0.000 0.000 0.500 (multiplicity 16)